Structure and simulated XRD peak list of BaDyFe4O7 (a PBE+U-relaxed structure; λ = 1.5418 Å (Cu Kα)).

Atomic structure:
Lattice parameters (Å, degrees): 6.348 9.303 6.395 90.00 91.12 90.00
Space group P2_1 (No. 4)
Unique sites:
Ba1 0.229 0.000 0.267
Dy1 0.247 0.251 0.756
Fe1 0.014 0.873 0.767
Fe2 0.240 0.624 0.499
Fe3 0.284 0.632 0.982
Fe4 0.492 0.364 0.286
O1 0.035 0.242 0.459
O2 0.049 0.779 0.033
O3 0.227 0.493 0.744
O4 0.232 0.495 0.232
O5 0.247 0.999 0.718
O6 0.436 0.217 0.059
O7 0.457 0.773 0.433

The 6 most intense peaks (15 to 90 degrees two-theta), low angle first:
27.42 deg, rel. 59, (1 2 -1); 27.71 deg, rel. 60, (1 2 1); 32.10 deg, rel. 100, (1 3 0); 32.57 deg, rel. 41, (1 1 -2); 32.71 deg, rel. 55, (2 1 -1); 33.05 deg, rel. 56, (1 1 2)